[1]
This entry pairs a crystal structure of AgH3BrN with its computed XRD peak list. Radiation: Cu Kα. Structure: a crystal structure in the Materials Project, relaxed with GGA-PBE.

Principal peaks in the range 5° ≤ 2θ ≤ 70°, by angle:
2θ/deg, d [Å], I/Imax, (hkl)
12.90, 6.864, 100, 0 0 1
25.16, 3.539, 27, 1 1 0
29.14, 3.064, 54, 0 2 0
29.65, 3.013, 97, 1 1 1
30.98, 2.887, 27, 1 0 -2
51.99, 1.759, 27, 1 3 1

Structural model:
```
data_AgH3BrN
_space_group_name_H-M_alt 'P 1 21/m 1'
_space_group_IT_number 11
_space_group_name_Hall '-P 2yb'
_cell_length_a 4.3750
_cell_length_b 6.1286
_cell_length_c 6.9268
_cell_angle_alpha 90.00
_cell_angle_beta 97.75
_cell_angle_gamma 90.00
loop_
_atom_site_label
_atom_site_fract_x
_atom_site_fract_y
_atom_site_fract_z
Ag1 0.1734 0.2500 0.0322
H1 0.1335 0.2500 0.4251
H2 0.1686 0.6153 0.6882
Br1 0.4824 0.7500 0.2336
N1 0.0310 0.7500 0.6952
```

=====

[2]
This entry pairs a crystal structure of AgHgSBr with its computed XRD peak list. Radiation: Cu Kα. Structure: a crystal structure in the Materials Project, relaxed with GGA-PBE.

Principal peaks in the range 5° ≤ 2θ ≤ 70°, by angle:
2θ/deg, d [Å], I/Imax, (hkl)
22.88, 3.887, 73, 1 1 1
27.70, 3.221, 28, 2 1 1
28.37, 3.145, 32, 3 0 1
31.97, 2.799, 100, 2 1 2
36.66, 2.451, 24, 0 0 4
38.49, 2.339, 33, 0 2 0

Structural model:
```
data_AgHgSBr
_space_group_name_H-M_alt 'P m m a'
_space_group_IT_number 51
_space_group_name_Hall '-P 2a 2a'
_cell_length_a 9.9631
_cell_length_b 4.6775
_cell_length_c 9.8047
_cell_angle_alpha 90.00
_cell_angle_beta 90.00
_cell_angle_gamma 90.00
loop_
_atom_site_label
_atom_site_fract_x
_atom_site_fract_y
_atom_site_fract_z
Ag1 0.0848 0.0000 0.2093
Hg1 0.0000 0.5000 0.5000
Hg2 0.2500 0.5000 0.7707
S1 0.0083 0.5000 0.7457
Br1 0.2500 0.0000 0.4648
Br2 0.2500 0.0000 0.9876
```

=====

[3]
This entry pairs a crystal structure of Na2InAgBr6 with its computed XRD peak list. Radiation: Cu Kα. Structure: a crystal structure in the Materials Project, relaxed with GGA-PBE.

Principal peaks in the range 5° ≤ 2θ ≤ 70°, by angle:
2θ/deg, d [Å], I/Imax, (hkl)
16.09, 5.508, 100, 2 0 0
28.06, 3.180, 29, 2 2 2
32.51, 2.754, 89, 4 0 0
36.47, 2.463, 52, 4 2 0
46.64, 1.947, 63, 4 4 0
49.65, 1.836, 26, 6 0 0

Structural model:
```
data_Na2InAgBr6
_space_group_name_H-M_alt 'F m -3 m'
_space_group_IT_number 225
_space_group_name_Hall '-F 4 2 3'
_cell_length_a 11.0166
_cell_length_b 11.0166
_cell_length_c 11.0166
_cell_angle_alpha 90.00
_cell_angle_beta 90.00
_cell_angle_gamma 90.00
loop_
_atom_site_label
_atom_site_fract_x
_atom_site_fract_y
_atom_site_fract_z
Na1 0.2500 0.2500 0.2500
In1 0.0000 0.0000 0.0000
Ag1 0.0000 0.0000 0.5000
Br1 0.0000 0.0000 0.2457
```

=====

[4]
This entry pairs a crystal structure of Rb2InAgBr6 with its computed XRD peak list. Radiation: Cu Kα. Structure: a crystal structure in the Materials Project, relaxed with GGA-PBE.

Principal peaks in the range 5° ≤ 2θ ≤ 70°, by angle:
2θ/deg, d [Å], I/Imax, (hkl)
15.92, 5.569, 34, 2 0 0
22.58, 3.938, 35, 2 2 0
27.75, 3.215, 47, 2 2 2
32.15, 2.784, 100, 4 0 0
46.10, 1.969, 71, 4 4 0
57.31, 1.608, 24, 4 4 4

Structural model:
```
data_Rb2InAgBr6
_space_group_name_H-M_alt 'F m -3 m'
_space_group_IT_number 225
_space_group_name_Hall '-F 4 2 3'
_cell_length_a 11.1372
_cell_length_b 11.1372
_cell_length_c 11.1372
_cell_angle_alpha 90.00
_cell_angle_beta 90.00
_cell_angle_gamma 90.00
loop_
_atom_site_label
_atom_site_fract_x
_atom_site_fract_y
_atom_site_fract_z
Rb1 0.2500 0.2500 0.2500
In1 0.0000 0.0000 0.0000
Ag1 0.0000 0.0000 0.5000
Br1 0.0000 0.0000 0.2447
```

=====

[5]
This entry pairs a crystal structure of KAgBr3 with its computed XRD peak list. Radiation: Cu Kα. Structure: a crystal structure in the Materials Project, relaxed with GGA-PBE.

Principal peaks in the range 5° ≤ 2θ ≤ 70°, by angle:
2θ/deg, d [Å], I/Imax, (hkl)
16.44, 5.392, 91, 0 1 2
27.40, 3.255, 32, 1 1 3
33.23, 2.696, 100, 0 2 4
37.47, 2.400, 33, 1 1 6
47.40, 1.918, 23, 2 2 0
48.00, 1.895, 33, 2 0 8

Structural model:
```
data_KAgBr3
_space_group_name_H-M_alt 'R 3 c'
_space_group_IT_number 161
_space_group_name_Hall 'R 3 -2"c'
_cell_length_a 7.6717
_cell_length_b 7.6717
_cell_length_c 18.4624
_cell_angle_alpha 90.00
_cell_angle_beta 90.00
_cell_angle_gamma 120.00
loop_
_atom_site_label
_atom_site_fract_x
_atom_site_fract_y
_atom_site_fract_z
K1 0.0000 0.0000 0.0000
Ag1 0.0000 0.0000 0.2349
Br1 0.1104 0.3341 0.3176
```